Diffraction record for Pr4Sm3Tm3. The PXRD pattern is simulated, not measured: it uses the GGA-PBE geometry in Alexandria and Cu Kα (weighted mean of Kα1 and Kα2).

Crystal structure
```
data_Pr4Sm3Tm3
_chemical_formula_sum 'Pr8 Sm6 Tm6'
_cell_length_a 3.8476
_cell_length_b 13.3364
_cell_length_c 13.2766
_cell_angle_alpha 90.00
_cell_angle_beta 90.00
_cell_angle_gamma 90.00
_symmetry_space_group_name_H-M 'A m m 2'
_symmetry_Int_Tables_number 38
loop_
_symmetry_equiv_pos_as_xyz
'x,y,z'
'-x,-y,z'
'-x,y,z'
'x,-y,z'
'x,y+1/2,z+1/2'
'-x,-y+1/2,z+1/2'
'-x,y+1/2,z+1/2'
'x,-y+1/2,z+1/2'
loop_
_atom_site_label
_atom_site_type_symbol
_atom_site_fract_x
_atom_site_fract_y
_atom_site_fract_z
Pr1 Pr 0.0000 0.0000 0.0000
Pr2 Pr 0.0000 0.0000 0.2595
Pr3 Pr 0.0000 0.1316 0.6317
Sm1 Sm 0.0000 0.2469 0.8796
Sm2 Sm 0.5000 0.0000 0.4624
Tm1 Tm 0.5000 0.0000 0.7989
Tm2 Tm 0.5000 0.1681 0.1295
```

Top 10 peaks for 2θ = 10–90°, by angle:
(0 4 0), d 3.333, 2θ = 26.75°, intensity 9
(0 2 4), d 2.976, 2θ = 30.02°, intensity 84
(1 3 1), d 2.840, 2θ = 31.51°, intensity 100
(0 4 4), d 2.353, 2θ = 38.25°, intensity 12
(1 3 5), d 1.963, 2θ = 46.25°, intensity 14
(2 0 0), d 1.924, 2θ = 47.24°, intensity 15
(0 8 0), d 1.666, 2θ = 55.14°, intensity 12
(2 2 4), d 1.616, 2θ = 57.00°, intensity 20
(1 7 3), d 1.593, 2θ = 57.89°, intensity 10
(1 3 7), d 1.589, 2θ = 58.05°, intensity 9